Starting from the GGA+U geometry in Alexandria, the powder XRD pattern of Sr2LiCoWO6 was computed for copper Kα.
Lines closer than 0.1° are merged.

```
Sr2LiCoWO6
1.0
5.4872 -2.7570 0.0000
5.4872 2.7570 0.0000
-2.0456 0.0000 4.8953
Sr Li Co W O
2 1 1 1 6
Cartesian
1.9941 0.0000 0.9348 Sr
6.9347 0.0000 3.9605 Sr
4.4644 0.0000 2.4477 Li
-1.0228 0.0000 2.4477 Co
5.4872 0.0000 0.0000 W
4.2815 1.3631 1.0155 O
4.6472 1.3631 3.8798 O
2.1854 0.0000 3.4321 O
6.7433 0.0000 1.4632 O
4.2815 -1.3631 1.0155 O
4.6472 -1.3631 3.8798 O
```

Most intense lines, 2θ from 10° to 90°, in order of falling intensity:
| Position (°2θ) | Rel. int. |
| --- | --- |
| 30.4 | 100 |
| 28.2 | 87 |
| 32.5 | 37 |
| 47.7 | 36 |
| 18.1 | 34 |
| 34.0 | 26 |
| 48.8 | 26 |
| 35.5 | 22 |
| 18.3 | 22 |
| 31.1 | 20 |
| 56.7 | 17 |
| 59.9 | 16 |